Record 1
Computed powder diffractogram of Nd6YZn2 for Cu Kα X-rays, from DFT lattice parameters and positions (GGA-PBE).
Kinematic intensities with the Lorentz-polarization factor, no thermal factor.

```
Nd6YZn2
1.0
6.425 -1.864 0.000
6.425 1.864 0.000
-4.110 0.000 11.398
Nd Y Zn
6 1 2
direct
0.028 0.028 0.326
0.310 0.310 0.124
0.312 0.312 0.408
0.688 0.688 0.592
0.690 0.690 0.876
0.972 0.972 0.674
0.000 0.000 0.000
0.356 0.356 0.805
0.644 0.644 0.195
```

Principal peaks in the range 2θ from 10° to 90°, most intense first:
2θ/deg  Rel. int.
32.71  100
30.94  24
31.79  23
58.95  13
57.21  11
44.95  11
48.86  10
56.16  9
26.96  9
59.47  8

Record 2
Computed powder diffractogram of Nd2YZn4 for Cu Kα X-rays, from DFT lattice parameters and positions (GGA-PBE).
Kinematic intensities with the Lorentz-polarization factor, no thermal factor.

```
Nd2YZn4
1.0
2.505 1.446 8.412
-2.505 1.446 8.412
0.000 -2.893 8.412
Nd Y Zn
2 1 4
direct
0.244 0.244 0.244
0.756 0.756 0.756
0.000 0.000 0.000
0.124 0.124 0.124
0.372 0.372 0.372
0.628 0.628 0.628
0.876 0.876 0.876
```

Principal peaks in the range 2θ from 10° to 90°, most intense first:
2θ/deg  Rel. int.
35.17  100
35.84  99
51.09  34
63.98  34
21.66  32
64.42  18
62.67  16
86.57  14
85.39  13
75.97  12

Record 3
Computed powder diffractogram of NdY5Zn6 for Cu Kα X-rays, from DFT lattice parameters and positions (GGA-PBE).
Kinematic intensities with the Lorentz-polarization factor, no thermal factor.

```
NdY5Zn6
1.0
2.539 -7.629 0.000
2.539 7.629 0.000
0.000 0.000 7.220
Nd Y Zn
1 5 6
direct
0.000 0.000 0.000
0.000 0.000 0.500
0.332 0.668 0.000
0.335 0.665 0.500
0.665 0.335 0.500
0.668 0.332 0.000
0.169 0.831 0.255
0.169 0.831 0.745
0.500 0.500 0.255
0.500 0.500 0.745
0.831 0.169 0.255
0.831 0.169 0.745
```

Principal peaks in the range 2θ from 10° to 90°, most intense first:
2θ/deg  Rel. int.
35.25  100
63.35  27
35.36  20
63.19  14
50.82  14
85.39  9
74.52  8
50.57  7
85.00  6
85.50  3

Record 4
Computed powder diffractogram of Nd4Zn11 for Cu Kα X-rays, from DFT lattice parameters and positions (GGA-PBE).
Kinematic intensities with the Lorentz-polarization factor, no thermal factor.

```
Nd4Zn11
1.0
-7.947 7.947 2.609
7.947 -7.947 2.609
7.947 7.947 -2.609
Nd Zn
8 22
direct
0.014 0.121 0.607
0.014 0.407 0.893
0.121 0.014 0.107
0.407 0.014 0.393
0.593 0.986 0.607
0.879 0.986 0.893
0.986 0.593 0.107
0.986 0.879 0.393
0.000 0.500 0.500
0.111 0.249 0.350
0.111 0.761 0.862
0.239 0.601 0.350
0.239 0.889 0.638
0.249 0.111 0.850
0.249 0.399 0.138
0.375 0.625 0.750
0.399 0.249 0.638
0.399 0.761 0.150
0.500 0.000 0.000
0.500 0.500 0.000
0.500 0.500 0.500
0.601 0.239 0.850
0.601 0.751 0.362
0.625 0.375 0.250
0.751 0.601 0.862
0.751 0.889 0.150
0.761 0.111 0.362
0.761 0.399 0.650
0.889 0.239 0.138
0.889 0.751 0.650
```

Principal peaks in the range 2θ from 10° to 90°, most intense first:
2θ/deg  Rel. int.
41.40  100
28.79  79
31.85  58
32.99  41
45.66  41
63.32  34
40.23  33
17.89  17
22.37  16
40.94  16

Record 5
Computed powder diffractogram of Nd4Zn3 for Cu Kα X-rays, from DFT lattice parameters and positions (GGA-PBE).
Kinematic intensities with the Lorentz-polarization factor, no thermal factor.

```
Nd4Zn3
1.0
2.589 1.495 8.323
-2.589 1.495 8.323
0.000 -2.989 8.323
Nd Zn
4 3
direct
0.121 0.121 0.121
0.373 0.373 0.373
0.627 0.627 0.627
0.879 0.879 0.879
0.247 0.247 0.247
0.500 0.500 0.500
0.753 0.753 0.753
```

Principal peaks in the range 2θ from 10° to 90°, most intense first:
2θ/deg  Rel. int.
34.65  100
35.03  95
24.44  51
62.35  35
50.10  34
62.10  18
63.08  16
83.72  15
84.37  14
42.86  12

Record 6
Computed powder diffractogram of Nd3Zn11 for Cu Kα X-rays, from DFT lattice parameters and positions (GGA-PBE).
Kinematic intensities with the Lorentz-polarization factor, no thermal factor.

```
Nd3Zn11
1.0
-2.255 4.420 6.670
2.255 -4.420 6.670
2.255 4.420 -6.670
Nd Zn
3 11
direct
0.000 0.000 0.000
0.295 0.295 0.000
0.705 0.705 0.000
0.014 0.656 0.358
0.141 0.860 0.281
0.297 0.656 0.642
0.322 0.500 0.822
0.421 0.140 0.281
0.500 0.000 0.500
0.579 0.860 0.719
0.678 0.500 0.178
0.703 0.344 0.358
0.859 0.140 0.719
0.986 0.344 0.642
```

Principal peaks in the range 2θ from 10° to 90°, most intense first:
2θ/deg  Rel. int.
34.86  100
39.99  52
34.97  39
36.42  37
33.67  33
38.93  29
36.58  26
68.23  24
40.58  22
46.25  19

Repeat the third record exactly.
Computed powder diffractogram of NdY5Zn6 for Cu Kα X-rays, from DFT lattice parameters and positions (GGA-PBE).
Kinematic intensities with the Lorentz-polarization factor, no thermal factor.

```
NdY5Zn6
1.0
2.539 -7.629 0.000
2.539 7.629 0.000
0.000 0.000 7.220
Nd Y Zn
1 5 6
direct
0.000 0.000 0.000
0.000 0.000 0.500
0.332 0.668 0.000
0.335 0.665 0.500
0.665 0.335 0.500
0.668 0.332 0.000
0.169 0.831 0.255
0.169 0.831 0.745
0.500 0.500 0.255
0.500 0.500 0.745
0.831 0.169 0.255
0.831 0.169 0.745
```

Principal peaks in the range 2θ from 10° to 90°, most intense first:
2θ/deg  Rel. int.
35.25  100
63.35  27
35.36  20
63.19  14
50.82  14
85.39  9
74.52  8
50.57  7
85.00  6
85.50  3